For Ba2CaMn2P4O14, a DFT-relaxed cell (PBE+U, the Materials Project) gives the computed powder XRD pattern in this record (a wavelength of 1.5418 Å).
Peak positions follow from Bragg's law for the DFT cell and can differ from measured ones.

Most intense lines, 10° ≤ 2θ ≤ 90°, most intense first:
h k l  two_theta  d (Å)  Rel. int.
1 2 1  28.1  3.175  100
0 0 2  17.7  5.014  95
1 -2 1  29.9  2.992  76
-1 1 2  27.6  3.234  45
0 0 3  26.7  3.342  44
1 -1 2  26.1  3.418  39
1 1 -1  24.6  3.616  39
2 -2 0  40.6  2.221  37
2 0 1  33.3  2.691  35
1 0 -1  20.5  4.340  33

Crystal structure
Lattice parameters (Å, degrees): 5.394 7.863 10.408 79.27 78.87 89.88
Space group P1 (No. 1)
Unique sites:
Ba1 0.000 0.000 0.000 x1
Ba2 0.166 0.165 0.380 x1
Ca1 0.586 0.080 0.691 x1
Mn1 0.254 0.721 0.268 x1
Mn2 0.922 0.484 0.091 x1
P1 0.457 0.314 0.980 x1
P2 0.471 0.689 0.955 x1
P3 0.680 0.469 0.408 x1
P4 0.699 0.836 0.416 x1
O1 0.209 0.290 0.086 x1
O2 0.235 0.669 0.072 x1
O3 0.437 0.838 0.846 x1
O4 0.437 0.866 0.380 x1
O5 0.438 0.486 0.349 x1
O6 0.451 0.199 0.878 x1
O7 0.462 0.513 0.896 x1
O8 0.684 0.304 0.510 x1
O9 0.694 0.295 0.042 x1
O10 0.706 0.631 0.481 x1
O11 0.719 0.694 0.006 x1
O12 0.750 0.937 0.520 x1
O13 0.917 0.873 0.292 x1
O14 0.919 0.481 0.295 x1